Calculated powder X-ray diffraction pattern of Ba8Y4Cu12O27 for copper Kα, from a PBE-relaxed structure.
No peak broadening, texture or thermal motion is included.

Atomic structure:
Unit cell a=15.433 b=7.893 c=12.532 alpha=90.00 beta=107.93 gamma=90.00
Space group C2/m (No. 12)
One atom of each set of equivalent atoms:
Ba  0.080  0.000  0.317 [4 per cell]
Ba  0.082  0.500  0.311 [4 per cell]
Ba  0.171  0.000  0.683 [4 per cell]
Ba  0.176  0.500  0.689 [4 per cell]
Y  0.000  0.000  0.000 [2 per cell]
Y  0.000  0.500  0.000 [2 per cell]
Y  0.250  0.000  0.999 [4 per cell]
Cu  0.000  0.240  0.500 [4 per cell]
Cu  0.089  0.250  0.858 [8 per cell]
Cu  0.161  0.250  0.143 [8 per cell]
Cu  0.250  0.250  0.500 [4 per cell]
O  0.000  0.000  0.500 [2 per cell]
O  0.030  0.250  0.120 [8 per cell]
O  0.038  0.267  0.652 [8 per cell]
O  0.095  0.000  0.878 [4 per cell]
O  0.095  0.500  0.880 [4 per cell]
O  0.155  0.000  0.121 [4 per cell]
O  0.155  0.500  0.122 [4 per cell]
O  0.210  0.250  0.341 [8 per cell]
O  0.220  0.250  0.880 [8 per cell]
O  0.249  0.500  0.500 [4 per cell]

Top 6 peaks for 10° ≤ 2θ ≤ 90°, sorted by position:
31.96°, I = 93; 32.34°, I = 99; 32.45°, I = 100; 57.12°, I = 31; 57.34°, I = 37; 58.06°, I = 33